Starting from a cell relaxed with GGA-PBE, the X-ray powder pattern of Pr2Mg3CdNi2 was calculated for λ = 1.5418 Å (Cu Kα).
Kinematic intensities with the Lorentz-polarization factor, no thermal factor.

Crystal structure
Lattice parameters (Å, degrees): 5.4470 5.4470 8.2186 90.04 90.04 45.20
Fractional positions:
Pr: 0.0000 0.0000 0.0000
Pr: 0.1193 0.1193 0.4975
Mg: 0.4049 0.4049 0.6947
Mg: 0.7131 0.7131 0.8045
Mg: 0.7166 0.7166 0.1970
Cd: 0.4119 0.4119 0.3014
Ni: 0.2823 0.2823 0.9983
Ni: 0.8326 0.8326 0.5054

Peak list (8 most intense, 2θ = 5–70°, most intense first)
d [Å], Rel. int.
2.815, 1000
2.494, 789
2.405, 580
4.109, 323
1.579, 309
2.093, 268
3.865, 266
1.892, 237

---

Starting from a cell relaxed with GGA-PBE, the X-ray powder pattern of MgCdNiS3 was calculated for λ = 1.5418 Å (Cu Kα).
Kinematic intensities with the Lorentz-polarization factor, no thermal factor.

Crystal structure
Lattice parameters (Å, degrees): 6.3249 6.3249 10.1050 90.00 90.00 147.07
Fractional positions:
Mg: 0.2321 0.7679 0.7500
Mg: 0.7679 0.2321 0.2500
Cd: 0.0000 0.0000 0.0000
Cd: 0.0000 0.0000 0.5000
Ni: 0.4843 0.5157 0.2500
Ni: 0.5157 0.4843 0.7500
S: 0.0965 0.9035 0.2500
S: 0.3516 0.6484 0.0890
S: 0.3516 0.6484 0.4110
S: 0.6484 0.3516 0.5890
S: 0.6484 0.3516 0.9110
S: 0.9035 0.0965 0.7500

Peak list (8 most intense, 2θ = 5–70°, most intense first)
d [Å], Rel. int.
6.066, 1000
2.369, 872
2.842, 525
1.867, 311
2.332, 267
2.526, 212
1.941, 207
2.593, 177

---

Starting from a cell relaxed with GGA-PBE, the X-ray powder pattern of Mg3CdO4 was calculated for λ = 1.5418 Å (Cu Kα).
Kinematic intensities with the Lorentz-polarization factor, no thermal factor.

Crystal structure
Lattice parameters (Å, degrees): 3.0599 4.3896 6.2018 90.00 90.00 90.00
Fractional positions:
Mg: 0.0000 0.0000 0.0000
Mg: 0.0000 0.0000 0.4785
Mg: 0.5000 0.5000 0.2388
Cd: 0.5000 0.5000 0.7387
O: 0.0000 0.5000 0.0174
O: 0.0000 0.5000 0.4604
O: 0.5000 0.0000 0.2395
O: 0.5000 0.0000 0.7397

Peak list (8 most intense, 2θ = 5–70°, most intense first)
d [Å], Rel. int.
2.178, 1000
6.202, 669
1.546, 601
2.195, 523
3.583, 456
4.390, 397
2.533, 396
2.510, 377